(1)
Computed powder diffraction line list of Tb2Sc2Al for copper Kα, from a DFT-relaxed cell (GGA-PBE, Alexandria).
Neutral-atom scattering factors, no anomalous dispersion.

Most intense lines, 2θ from 5° to 70°, in order of falling intensity:
- 2θ = 22.2°, I 100, hkl 1 0 1
- 2θ = 33.2°, I 69, hkl 1 0 7
- 2θ = 38.4°, I 54, hkl 1 1 0
- 2θ = 36.0°, I 45, hkl 0 1 8
- 2θ = 23.0°, I 29, hkl 0 1 2
- 2θ = 51.6°, I 19, hkl 0 2 7

```
data_Tb2Sc2Al
_cell_length_a 4.6930
_cell_length_b 4.6930
_cell_length_c 25.2788
_cell_angle_alpha 90.00
_cell_angle_beta 90.00
_cell_angle_gamma 120.00
_symmetry_space_group_name_H-M 'R -3 m'
_symmetry_Int_Tables_number 166
_symmetry_space_group_name_Hall '-R 3 2"'
loop_
_atom_site_label
_atom_site_fract_x
_atom_site_fract_y
_atom_site_fract_z
Tb1 0.0000 0.0000 0.0674
Sc1 0.0000 0.0000 0.1960
Al1 0.0000 0.0000 0.5000
```



(2)
Computed powder diffraction line list of Tb5ScAl3 for copper Kα, from a DFT-relaxed cell (GGA-PBE, Alexandria).
Neutral-atom scattering factors, no anomalous dispersion.

Most intense lines, 2θ from 5° to 70°, in order of falling intensity:
- 2θ = 33.8°, I 100, hkl 1 1 2
- 2θ = 34.4°, I 98, hkl 3 0 0
- 2θ = 23.9°, I 67, hkl 1 1 1
- 2θ = 61.2°, I 35, hkl 4 1 2
- 2θ = 49.0°, I 35, hkl 2 2 2
- 2θ = 67.5°, I 27, hkl 3 0 4

```
data_Tb5ScAl3
_cell_length_a 9.0327
_cell_length_b 9.0327
_cell_length_c 6.5562
_cell_angle_alpha 90.00
_cell_angle_beta 90.00
_cell_angle_gamma 120.00
_symmetry_space_group_name_H-M 'P 63/m c m'
_symmetry_Int_Tables_number 193
_symmetry_space_group_name_Hall '-P 6c 2'
loop_
_atom_site_label
_atom_site_fract_x
_atom_site_fract_y
_atom_site_fract_z
Tb1 0.0000 0.3252 0.2500
Tb2 0.3333 0.6667 0.0000
Sc1 0.0000 0.0000 0.0000
Al1 0.0000 0.3355 0.7500
```



(3)
Computed powder diffraction line list of TbScAl for copper Kα, from a DFT-relaxed cell (GGA-PBE, Alexandria).
Neutral-atom scattering factors, no anomalous dispersion.

Most intense lines, 2θ from 5° to 70°, in order of falling intensity:
- 2θ = 35.0°, I 100, hkl 0 2 0
- 2θ = 28.6°, I 27, hkl 0 1 2
- 2θ = 20.7°, I 26, hkl 0 1 1
- 2θ = 25.4°, I 26, hkl 1 0 -1
- 2θ = 34.2°, I 19, hkl 0 0 3
- 2θ = 61.8°, I 16, hkl 1 1 4

```
data_TbScAl
_cell_length_a 3.591
_cell_length_b 5.115
_cell_length_c 8.061
_cell_angle_alpha 90.00
_cell_angle_beta 102.86
_cell_angle_gamma 90.00
_symmetry_space_group_name_H-M 'P 1 21/m 1'
_symmetry_Int_Tables_number 11
_symmetry_space_group_name_Hall '-P 2yb'
loop_
_atom_site_label
_atom_site_fract_x
_atom_site_fract_y
_atom_site_fract_z
Tb1 0.079 0.250 0.157
Sc1 0.232 0.750 0.465
Al1 0.412 0.250 0.824
```



(4)
Computed powder diffraction line list of Tb4ScAl5 for copper Kα, from a DFT-relaxed cell (GGA-PBE, Alexandria).
Neutral-atom scattering factors, no anomalous dispersion.

Most intense lines, 2θ from 5° to 70°, in order of falling intensity:
- 2θ = 35.5°, I 100, hkl 1 0 5
- 2θ = 25.1°, I 57, hkl 1 0 0
- 2θ = 35.8°, I 52, hkl 1 1 0
- 2θ = 64.1°, I 35, hkl 2 1 5
- 2θ = 24.6°, I 29, hkl 0 0 5
- 2θ = 43.9°, I 25, hkl 1 1 5

```
data_Tb4ScAl5
_cell_length_a 3.547
_cell_length_b 3.547
_cell_length_c 18.063
_cell_angle_alpha 90.00
_cell_angle_beta 90.00
_cell_angle_gamma 90.00
_symmetry_space_group_name_H-M 'P 4/m m m'
_symmetry_Int_Tables_number 123
_symmetry_space_group_name_Hall '-P 4 2'
loop_
_atom_site_label
_atom_site_fract_x
_atom_site_fract_y
_atom_site_fract_z
Tb1 0.000 0.000 0.103
Tb2 0.000 0.000 0.309
Sc1 0.000 0.000 0.500
Al1 0.500 0.500 0.000
Al2 0.500 0.500 0.207
Al3 0.500 0.500 0.415
```



(5)
Computed powder diffraction line list of Tb6Sc2Al for copper Kα, from a DFT-relaxed cell (GGA-PBE, Alexandria).
Neutral-atom scattering factors, no anomalous dispersion.

Most intense lines, 2θ from 5° to 70°, in order of falling intensity:
- 2θ = 31.9°, I 100, hkl 3 0 1
- 2θ = 33.2°, I 41, hkl 1 3 1
- 2θ = 26.3°, I 38, hkl 1 2 1
- 2θ = 34.3°, I 34, hkl 0 0 2
- 2θ = 32.4°, I 31, hkl 2 3 0
- 2θ = 47.9°, I 21, hkl 2 3 2

```
data_Tb6Sc2Al
_cell_length_a 9.950
_cell_length_b 9.958
_cell_length_c 5.233
_cell_angle_alpha 90.00
_cell_angle_beta 90.00
_cell_angle_gamma 90.00
_symmetry_space_group_name_H-M 'P n n m'
_symmetry_Int_Tables_number 58
_symmetry_space_group_name_Hall '-P 2 2n'
loop_
_atom_site_label
_atom_site_fract_x
_atom_site_fract_y
_atom_site_fract_z
Tb1 0.038 0.187 0.000
Tb2 0.123 0.623 0.500
Tb3 0.187 0.960 0.500
Sc1 0.211 0.288 0.500
Al1 0.000 0.500 0.000
```



(6)
Computed powder diffraction line list of Tb2ScAl3Zn6 for copper Kα, from a DFT-relaxed cell (GGA-PBE, Alexandria).
Neutral-atom scattering factors, no anomalous dispersion.

Most intense lines, 2θ from 5° to 70°, in order of falling intensity:
- 2θ = 10.0°, I 100, hkl 0 0 2
- 2θ = 35.7°, I 80, hkl 1 1 3
- 2θ = 42.6°, I 58, hkl 1 0 7
- 2θ = 46.1°, I 52, hkl 2 0 0
- 2θ = 38.2°, I 48, hkl 1 1 4
- 2θ = 32.5°, I 44, hkl 1 1 1

```
data_Tb2ScAl3Zn6
_cell_length_a 3.939
_cell_length_b 3.939
_cell_length_c 17.619
_cell_angle_alpha 90.00
_cell_angle_beta 90.00
_cell_angle_gamma 90.00
_symmetry_space_group_name_H-M 'P 4/m m m'
_symmetry_Int_Tables_number 123
_symmetry_space_group_name_Hall '-P 4 2'
loop_
_atom_site_label
_atom_site_fract_x
_atom_site_fract_y
_atom_site_fract_z
Tb1 0.000 0.000 0.212
Sc1 0.000 0.000 0.500
Al1 0.500 0.500 0.000
Al2 0.500 0.500 0.280
Zn1 0.000 0.500 0.378
Zn2 0.500 0.500 0.137
```



(7)
Computed powder diffraction line list of Sc3AlTc for copper Kα, from a DFT-relaxed cell (GGA-PBE, Alexandria).
Neutral-atom scattering factors, no anomalous dispersion.

Most intense lines, 2θ from 5° to 70°, in order of falling intensity:
- 2θ = 36.9°, I 100, hkl 1 5 1
- 2θ = 38.7°, I 25, hkl 0 0 2
- 2θ = 38.8°, I 25, hkl 2 0 0
- 2θ = 21.5°, I 16, hkl 0 2 1
- 2θ = 56.0°, I 16, hkl 2 0 2
- 2θ = 68.8°, I 14, hkl 1 5 3

```
data_Sc3AlTc
_cell_length_a 4.640
_cell_length_b 18.175
_cell_length_c 4.654
_cell_angle_alpha 90.00
_cell_angle_beta 90.00
_cell_angle_gamma 90.00
_symmetry_space_group_name_H-M 'C m c m'
_symmetry_Int_Tables_number 63
_symmetry_space_group_name_Hall '-C 2c 2'
loop_
_atom_site_label
_atom_site_fract_x
_atom_site_fract_y
_atom_site_fract_z
Sc1 0.000 0.068 0.250
Sc2 0.000 0.250 0.250
Sc3 0.000 0.430 0.250
Al1 0.000 0.341 0.750
Tc1 0.000 0.155 0.750
```



(8)
Computed powder diffraction line list of Sc2Al4Tc for copper Kα, from a DFT-relaxed cell (GGA-PBE, Alexandria).
Neutral-atom scattering factors, no anomalous dispersion.

Most intense lines, 2θ from 5° to 70°, in order of falling intensity:
- 2θ = 12.6°, I 100, hkl 0 0 2
- 2θ = 27.3°, I 80, hkl 1 1 0
- 2θ = 37.4°, I 73, hkl 1 0 5
- 2θ = 39.0°, I 73, hkl 2 0 0
- 2θ = 27.1°, I 57, hkl 1 0 3
- 2θ = 55.1°, I 45, hkl 2 1 5

```
data_Sc2Al4Tc
_cell_length_a 4.622
_cell_length_b 4.622
_cell_length_c 14.076
_cell_angle_alpha 90.00
_cell_angle_beta 90.00
_cell_angle_gamma 90.00
_symmetry_space_group_name_H-M 'I 4/m m m'
_symmetry_Int_Tables_number 139
_symmetry_space_group_name_Hall '-I 4 2'
loop_
_atom_site_label
_atom_site_fract_x
_atom_site_fract_y
_atom_site_fract_z
Sc1 0.000 0.000 0.127
Al1 0.000 0.000 0.324
Al2 0.000 0.500 0.000
Tc1 0.000 0.000 0.500
```